The following is a computed powder diffraction line list of ZrNbV4. It was derived from a crystal structure in Alexandria, relaxed with PBE, using a wavelength of 1.5418 Å.
Intensities are scaled so that the largest is 100.

Main lines, by angle (2θ from 15° to 90°):
index, two_theta, I (rel.)
1 1 1, 21.2, 3
2 2 0, 35.0, 53
3 1 1, 41.3, 100
2 2 2, 43.2, 21
3 3 1, 55.2, 1
4 2 2, 62.7, 18
5 1 1, 67.0, 29
4 4 0, 73.9, 22
5 3 1, 77.9, 1
6 2 0, 84.4, 8
5 3 3, 88.3, 10
6 2 2, 89.6, 6

Atomic structure:
```
data_ZrNbV4
_chemical_formula_sum 'Zr4 Nb4 V16'
_cell_length_a 7.2560
_cell_length_b 7.2560
_cell_length_c 7.2560
_cell_angle_alpha 90.00
_cell_angle_beta 90.00
_cell_angle_gamma 90.00
_space_group_name_H-M_alt 'F -4 3 m'
_space_group_IT_number 216
_space_group_name_Hall 'F -4 2 3'
loop_
_atom_site_label
_atom_site_fract_x
_atom_site_fract_y
_atom_site_fract_z
Zr1 0.0000 0.0000 0.0000
Nb1 0.2500 0.2500 0.7500
V1 0.1251 0.1251 0.3749
```

The following is a computed powder diffraction line list of Nb5W4. It was derived from a crystal structure in Alexandria, relaxed with PBE, using a wavelength of 1.5418 Å.
Intensities are scaled so that the largest is 100.

Main lines, by angle (2θ from 15° to 90°):
index, two_theta, I (rel.)
2 0 0, 18.2, 11
2 0 1, 39.1, 100
1 3 -1, 39.2, 66
4 0 -1, 39.4, 33
6 0 0, 56.5, 23
2 0 -2, 56.8, 11
5 3 1, 70.7, 11
1 3 2, 70.9, 23
7 3 -1, 71.1, 23
5 3 -2, 71.4, 11
6 6 0, 84.1, 7
2 6 -2, 84.4, 7

Atomic structure:
```
data_Nb5W4
_chemical_formula_sum 'Nb10 W8'
_cell_length_a 10.2714
_cell_length_b 9.7671
_cell_length_c 3.2396
_cell_angle_alpha 90.00
_cell_angle_beta 107.94
_cell_angle_gamma 90.00
_space_group_name_H-M_alt 'C 1 2/m 1'
_space_group_IT_number 12
_space_group_name_Hall '-C 2y'
loop_
_atom_site_label
_atom_site_fract_x
_atom_site_fract_y
_atom_site_fract_z
Nb1 0.0000 0.0000 0.0000
Nb2 0.0000 0.3287 0.0000
Nb3 0.1715 0.5000 0.6714
W1 0.1685 0.1685 0.6682
```

Q: What is the formula in the first record?
A: ZrNbV4